# 1
Ti4ZnO9: theoretical powder diffraction line list (Cu Kα, 1.54184 Å), based on the GGA-PBE geometry in Alexandria.

Most intense lines, 10° ≤ 2θ ≤ 90°, in order of falling intensity:
d_spacing  I_rel
3.033  1000
3.852  830
2.696  655
1.906  564
3.246  481
5.007  317

Crystal structure
Cell lengths 8.525, 8.525, 5.007 Å; angles 90.00, 90.00, 90.00 degrees
Atoms (fractional coordinates):
Ti 0.030 0.839 0.120
Ti 0.161 0.530 0.880
Ti 0.339 0.970 0.880
Ti 0.470 0.661 0.120
Ti 0.530 0.339 0.880
Ti 0.661 0.030 0.120
Ti 0.839 0.470 0.120
Ti 0.970 0.161 0.880
Zn 0.250 0.250 0.469
Zn 0.750 0.750 0.531
O 0.023 0.184 0.553
O 0.040 0.358 0.029
O 0.142 0.040 0.029
O 0.184 0.477 0.553
O 0.250 0.750 0.000
O 0.316 0.023 0.553
O 0.358 0.460 0.029
O 0.460 0.142 0.029
O 0.477 0.316 0.553
O 0.523 0.684 0.447
O 0.540 0.858 0.971
O 0.642 0.540 0.971
O 0.684 0.977 0.447
O 0.750 0.250 0.000
O 0.816 0.523 0.447
O 0.858 0.960 0.971
O 0.960 0.642 0.971
O 0.977 0.816 0.447

=====

# 2
Sm5Ta2O12: theoretical powder diffraction line list (Cu Kα, 1.54184 Å), based on the GGA-PBE geometry in Alexandria.

Most intense lines, 10° ≤ 2θ ≤ 90°, in order of falling intensity:
d_spacing  I_rel
2.771  1000
3.214  867
3.351  826
1.690  467
2.313  339
2.688  278

Crystal structure
Cell lengths 7.025, 7.025, 7.613 Å; angles 105.73, 105.73, 50.54 degrees
Atoms (fractional coordinates):
Sm 0.000 0.000 0.000
Sm 0.303 0.303 0.138
Sm 0.308 0.308 0.672
Sm 0.692 0.692 0.328
Sm 0.697 0.697 0.862
Ta 0.240 0.760 0.500
Ta 0.760 0.240 0.500
O 0.000 0.000 0.311
O 0.000 0.000 0.689
O 0.095 0.595 0.924
O 0.102 0.574 0.418
O 0.405 0.905 0.076
O 0.426 0.898 0.582
O 0.499 0.499 0.687
O 0.501 0.501 0.313
O 0.574 0.102 0.418
O 0.595 0.095 0.924
O 0.898 0.426 0.582
O 0.905 0.405 0.076

=====

# 3
Nb3Ga2N: theoretical powder diffraction line list (Cu Kα, 1.54184 Å), based on the GGA-PBE geometry in Alexandria.

Most intense lines, 10° ≤ 2θ ≤ 90°, in order of falling intensity:
d_spacing  I_rel
2.354  1000
2.233  568
1.385  241
2.129  228
1.311  221
1.887  79

Crystal structure
Cell lengths 7.061, 7.061, 7.061 Å; angles 90.00, 90.00, 90.00 degrees
Atoms (fractional coordinates):
Nb 0.045 0.125 0.795
Nb 0.125 0.795 0.045
Nb 0.205 0.545 0.375
Nb 0.295 0.455 0.875
Nb 0.375 0.205 0.545
Nb 0.455 0.875 0.295
Nb 0.545 0.375 0.205
Nb 0.625 0.705 0.955
Nb 0.705 0.955 0.625
Nb 0.795 0.045 0.125
Nb 0.875 0.295 0.455
Nb 0.955 0.625 0.705
Ga 0.069 0.931 0.431
Ga 0.181 0.181 0.181
Ga 0.319 0.819 0.681
Ga 0.431 0.069 0.931
Ga 0.569 0.569 0.569
Ga 0.681 0.319 0.819
Ga 0.819 0.681 0.319
Ga 0.931 0.431 0.069
N 0.125 0.375 0.625
N 0.375 0.625 0.125
N 0.625 0.125 0.375
N 0.875 0.875 0.875

=====

# 4
Ga2Cu2W: theoretical powder diffraction line list (Cu Kα, 1.54184 Å), based on the GGA-PBE geometry in Alexandria.

Most intense lines, 10° ≤ 2θ ≤ 90°, in order of falling intensity:
d_spacing  I_rel
2.255  1000
2.082  646
2.177  341
1.743  289
2.413  284
2.522  261

Crystal structure
Cell lengths 7.132, 7.132, 2.748 Å; angles 90.00, 90.00, 90.00 degrees
Atoms (fractional coordinates):
Ga 0.140 0.360 0.000
Ga 0.360 0.860 0.000
Ga 0.640 0.140 0.000
Ga 0.860 0.640 0.000
Cu 0.158 0.658 0.500
Cu 0.342 0.158 0.500
Cu 0.658 0.842 0.500
Cu 0.842 0.342 0.500
W 0.000 0.000 0.000
W 0.500 0.500 0.000